No. 1
The following is a computed PXRD pattern of AlSi2Ni7. It was derived from a structure optimized by DFT (GGA-PBE), using Cu Kα (λ = 1.5418 Å).

Unit cell a=3.6896 b=3.6896 c=17.6677 alpha=90.00 beta=90.00 gamma=90.00
Space group I4/mmm (No. 139)
Symmetry-distinct sites (fractional):
Al1 0.0000 0.0000 0.0000 (multiplicity 2)
Si1 0.0000 0.0000 0.3282 (multiplicity 4)
Ni1 0.0000 0.0000 0.5000 (multiplicity 2)
Ni2 0.0000 0.5000 0.0972 (multiplicity 8)
Ni3 0.0000 0.5000 0.2500 (multiplicity 4)

Main lines, in order of rising 2θ (2θ = 5–70°):
| h k l | Position (°2θ) | d/Å | intensity |
| --- | --- | --- | --- |
| 1 0 1 | 24.65 | 3.612 | 10 |
| 0 0 6 | 30.35 | 2.945 | 14 |
| 1 1 0 | 34.37 | 2.609 | 28 |
| 1 1 2 | 35.89 | 2.502 | 9 |
| 1 1 4 | 40.14 | 2.246 | 12 |
| 0 0 8 | 40.86 | 2.208 | 8 |
| 1 1 6 | 46.51 | 1.953 | 100 |
| 2 0 0 | 49.40 | 1.845 | 47 |
| 2 0 6 | 59.09 | 1.563 | 8 |
| 0 0 12 | 63.15 | 1.472 | 7 |

=====

No. 2
The following is a computed PXRD pattern of AlSi2Ni2. It was derived from a structure optimized by DFT (GGA-PBE), using Cu Kα (λ = 1.5418 Å).

Unit cell a=5.5642 b=9.2212 c=2.6982 alpha=90.00 beta=90.00 gamma=90.00
Space group Pbam (No. 55)
Symmetry-distinct sites (fractional):
Al1 0.0000 0.0000 0.0000 (multiplicity 2)
Si1 0.0453 0.3759 0.0000 (multiplicity 4)
Ni1 0.1416 0.7941 0.5000 (multiplicity 4)

Main lines, in order of rising 2θ (2θ = 5–70°):
| h k l | Position (°2θ) | d/Å | intensity |
| --- | --- | --- | --- |
| 0 2 0 | 19.25 | 4.611 | 95 |
| 1 2 0 | 25.08 | 3.550 | 72 |
| 2 1 0 | 33.65 | 2.664 | 70 |
| 0 2 1 | 38.66 | 2.329 | 89 |
| 1 4 0 | 42.44 | 2.130 | 29 |
| 2 3 0 | 43.89 | 2.063 | 37 |
| 2 0 1 | 46.91 | 1.937 | 27 |
| 1 3 1 | 47.74 | 1.905 | 77 |
| 2 1 1 | 48.00 | 1.896 | 100 |
| 1 5 0 | 52.24 | 1.751 | 54 |

=====

No. 3
The following is a computed PXRD pattern of Al2Si4Ni. It was derived from a structure optimized by DFT (GGA-PBE), using Cu Kα (λ = 1.5418 Å).

Unit cell a=3.6492 b=3.6492 c=22.7161 alpha=90.00 beta=90.00 gamma=120.00
Space group P6_3mc (No. 186)
Symmetry-distinct sites (fractional):
Al1 0.3333 0.6667 0.0000 (multiplicity 2)
Al2 0.3333 0.6667 0.3266 (multiplicity 2)
Si1 0.0000 0.0000 0.0696 (multiplicity 2)
Si2 0.0000 0.0000 0.2666 (multiplicity 2)
Si3 0.3333 0.6667 0.2003 (multiplicity 2)
Si4 0.3333 0.6667 0.4343 (multiplicity 2)
Ni1 0.0000 0.0000 0.1674 (multiplicity 2)

Main lines, in order of rising 2θ (2θ = 5–70°):
| h k l | Position (°2θ) | d/Å | intensity |
| --- | --- | --- | --- |
| 0 0 2 | 7.78 | 11.358 | 100 |
| 0 0 4 | 15.60 | 5.679 | 17 |
| 1 0 0 | 28.24 | 3.160 | 22 |
| 1 0 1 | 28.52 | 3.130 | 29 |
| 1 0 2 | 29.33 | 3.045 | 84 |
| 1 0 5 | 34.57 | 2.594 | 11 |
| 1 0 8 | 42.81 | 2.112 | 21 |
| 1 0 9 | 46.02 | 1.972 | 18 |
| 1 0 10 | 49.41 | 1.845 | 46 |
| 1 1 0 | 49.99 | 1.825 | 51 |